The following is a calculated X-ray powder pattern of Pm3Dy12Th. It was derived from a GGA-PBE-relaxed structure, using Cu Ka.

Structure:
```
data_Pm3Dy12Th
_chemical_formula_sum 'Pm3 Dy12 Th1'
_symmetry_space_group_name_H-M 'P 1'
_symmetry_Int_Tables_number 1
_cell_length_a 5.041
_cell_length_b 5.041
_cell_length_c 20.157
_cell_angle_alpha 90.00
_cell_angle_beta 90.00
_cell_angle_gamma 90.00
loop_
_symmetry_equiv_pos_as_xyz
'x,y,z'
loop_
_atom_site_label
_atom_site_type_symbol
_atom_site_fract_x
_atom_site_fract_y
_atom_site_fract_z
_atom_site_occupancy
Pm1 Pm 0.000 0.000 0.000 1
Pm2 Pm 0.000 0.000 0.251 1
Pm3 Pm 0.000 0.000 0.749 1
Dy1 Dy 0.000 0.500 0.126 1
Dy2 Dy 0.000 0.500 0.378 1
Dy3 Dy 0.000 0.500 0.622 1
Dy4 Dy 0.000 0.500 0.874 1
Dy5 Dy 0.500 0.000 0.126 1
Dy6 Dy 0.500 0.000 0.378 1
Dy7 Dy 0.500 0.000 0.622 1
Dy8 Dy 0.500 0.000 0.874 1
Dy9 Dy 0.500 0.500 0.000 1
Dy10 Dy 0.500 0.500 0.250 1
Dy11 Dy 0.500 0.500 0.500 1
Dy12 Dy 0.500 0.500 0.750 1
Th1 Th 0.000 0.000 0.500 1
```

Peak list (6 most intense, 10 to 90 degrees two-theta, by intensity)
- 2θ = 30.72°, intensity 100
- 2θ = 35.62°, intensity 51
- 2θ = 60.96°, intensity 43
- 2θ = 51.26°, intensity 36
- 2θ = 83.62°, intensity 18
- 2θ = 86.31°, intensity 17



The following is a calculated X-ray powder pattern of Ca3Ni2N4. It was derived from a GGA-PBE-relaxed structure, using Cu Ka.

Structure:
```
data_Ca3Ni2N4
_chemical_formula_sum 'Ca6 Ni4 N8'
_symmetry_space_group_name_H-M 'P 1'
_symmetry_Int_Tables_number 1
_cell_length_a 6.676
_cell_length_b 6.676
_cell_length_c 5.410
_cell_angle_alpha 91.67
_cell_angle_beta 91.67
_cell_angle_gamma 77.10
loop_
_symmetry_equiv_pos_as_xyz
'x,y,z'
loop_
_atom_site_label
_atom_site_type_symbol
_atom_site_fract_x
_atom_site_fract_y
_atom_site_fract_z
_atom_site_occupancy
Ca1 Ca 0.096 0.904 0.750 1
Ca2 Ca 0.245 0.511 0.451 1
Ca3 Ca 0.489 0.755 0.049 1
Ca4 Ca 0.511 0.245 0.951 1
Ca5 Ca 0.755 0.489 0.549 1
Ca6 Ca 0.904 0.096 0.250 1
Ni1 Ni 0.077 0.335 0.912 1
Ni2 Ni 0.335 0.077 0.412 1
Ni3 Ni 0.665 0.923 0.588 1
Ni4 Ni 0.923 0.665 0.088 1
N1 N 0.093 0.235 0.581 1
N2 N 0.208 0.559 0.979 1
N3 N 0.235 0.093 0.081 1
N4 N 0.441 0.792 0.521 1
N5 N 0.559 0.208 0.479 1
N6 N 0.765 0.907 0.919 1
N7 N 0.792 0.441 0.021 1
N8 N 0.907 0.765 0.419 1
```

Peak list (6 most intense, 10 to 90 degrees two-theta, by intensity)
- 2θ = 32.45°, intensity 100
- 2θ = 31.94°, intensity 62
- 2θ = 44.77°, intensity 41
- 2θ = 35.67°, intensity 38
- 2θ = 44.65°, intensity 37
- 2θ = 16.99°, intensity 35



The following is a calculated X-ray powder pattern of Sc5Hg4. It was derived from a GGA-PBE-relaxed structure, using Cu Ka.

Structure:
```
data_Sc5Hg4
_chemical_formula_sum 'Sc10 Hg8'
_symmetry_space_group_name_H-M 'P 1'
_symmetry_Int_Tables_number 1
_cell_length_a 8.659
_cell_length_b 8.659
_cell_length_c 6.213
_cell_angle_alpha 90.00
_cell_angle_beta 90.00
_cell_angle_gamma 120.00
loop_
_symmetry_equiv_pos_as_xyz
'x,y,z'
loop_
_atom_site_label
_atom_site_type_symbol
_atom_site_fract_x
_atom_site_fract_y
_atom_site_fract_z
_atom_site_occupancy
Sc1 Sc 0.000 0.296 0.250 1
Sc2 Sc 0.000 0.704 0.750 1
Sc3 Sc 0.296 0.000 0.250 1
Sc4 Sc 0.296 0.296 0.750 1
Sc5 Sc 0.333 0.667 0.000 1
Sc6 Sc 0.333 0.667 0.500 1
Sc7 Sc 0.667 0.333 0.000 1
Sc8 Sc 0.667 0.333 0.500 1
Sc9 Sc 0.704 0.000 0.750 1
Sc10 Sc 0.704 0.704 0.250 1
Hg1 Hg 0.000 0.000 0.000 1
Hg2 Hg 0.000 0.000 0.500 1
Hg3 Hg 0.000 0.376 0.750 1
Hg4 Hg 0.000 0.624 0.250 1
Hg5 Hg 0.376 0.000 0.750 1
Hg6 Hg 0.376 0.376 0.250 1
Hg7 Hg 0.624 0.000 0.250 1
Hg8 Hg 0.624 0.624 0.750 1
```

Peak list (6 most intense, 10 to 90 degrees two-theta, by intensity)
- 2θ = 35.57°, intensity 100
- 2θ = 35.93°, intensity 94
- 2θ = 25.07°, intensity 81
- 2θ = 23.73°, intensity 36
- 2θ = 34.79°, intensity 33
- 2θ = 51.45°, intensity 25



The following is a calculated X-ray powder pattern of CrBPAuI. It was derived from a GGA-PBE-relaxed structure, using Cu Ka.

Structure:
```
data_CrBPAuI
_chemical_formula_sum 'Cr2 B2 P2 Au2 I2'
_symmetry_space_group_name_H-M 'P 1'
_symmetry_Int_Tables_number 1
_cell_length_a 17.014
_cell_length_b 3.255
_cell_length_c 4.277
_cell_angle_alpha 90.00
_cell_angle_beta 102.27
_cell_angle_gamma 90.00
loop_
_symmetry_equiv_pos_as_xyz
'x,y,z'
loop_
_atom_site_label
_atom_site_type_symbol
_atom_site_fract_x
_atom_site_fract_y
_atom_site_fract_z
_atom_site_occupancy
Cr1 Cr 0.000 0.000 0.000 1
Cr2 Cr 0.500 0.500 0.000 1
B1 B 0.091 0.500 0.079 1
B2 B 0.591 0.000 0.079 1
P1 P 0.151 0.000 0.187 1
P2 P 0.651 0.500 0.187 1
Au1 Au 0.042 0.500 0.541 1
Au2 Au 0.542 0.000 0.541 1
I1 I 0.343 0.500 0.858 1
I2 I 0.843 0.000 0.858 1
```

Peak list (6 most intense, 10 to 90 degrees two-theta, by intensity)
- 2θ = 10.64°, intensity 100
- 2θ = 34.64°, intensity 69
- 2θ = 21.38°, intensity 46
- 2θ = 31.89°, intensity 45
- 2θ = 47.43°, intensity 39
- 2θ = 25.82°, intensity 39